The following is a computed powder diffraction line list of K3ReC4N4O2. It was derived from the PBE geometry in Alexandria, using Cu Kα (λ = 1.5418 Å).

The 12 most intense peaks (2θ from 10° to 90°), low angle first:
2θ (°)	d/Å	I_rel
12.03	7.356	100
13.52	6.551	61
17.46	5.078	36
17.71	5.007	25
20.88	4.254	54
23.72	3.751	76
24.31	3.661	27
24.89	3.578	44
27.18	3.280	33
30.16	2.964	48
30.48	2.933	38
42.53	2.125	25

Cell and atoms:
```
data_K3ReC4N4O2
_chemical_formula_sum 'K3 Re1 C4 N4 O2'
_cell_length_a 5.523
_cell_length_b 6.924
_cell_length_c 7.864
_cell_angle_alpha 98.59
_cell_angle_beta 106.07
_cell_angle_gamma 103.57
_space_group_name_H-M_alt 'P -1'
_space_group_IT_number 2
loop_
_space_group_symop_operation_xyz
'x,y,z'
'-x,-y,-z'
loop_
_atom_site_label
_atom_site_type_symbol
_atom_site_fract_x
_atom_site_fract_y
_atom_site_fract_z
_atom_site_occupancy
K1 K 0.000 0.000 0.000 1
K2 K 0.247 0.522 0.721 1
Re1 Re 0.500 0.000 0.500 1
C1 C 0.299 0.200 0.386 1
C2 C 0.479 0.129 0.758 1
N1 N 0.195 0.312 0.318 1
N2 N 0.474 0.209 0.900 1
O1 O 0.195 0.803 0.450 1
```

The following is a computed powder diffraction line list of K3ReC4N4O2. It was derived from the PBE geometry in Alexandria, using Cu Kα (λ = 1.5418 Å).

The 12 most intense peaks (2θ from 10° to 90°), low angle first:
2θ (°)	d/Å	I_rel
10.30	8.592	100
13.72	6.452	26
14.70	6.027	29
14.93	5.935	30
20.68	4.296	16
22.92	3.880	11
24.73	3.600	17
26.41	3.374	14
29.12	3.067	22
34.07	2.631	11
34.92	2.569	12
42.05	2.149	10

Cell and atoms:
```
data_K3ReC4N4O2
_chemical_formula_sum 'K3 Re1 C4 N4 O2'
_cell_length_a 6.768
_cell_length_b 7.274
_cell_length_c 8.733
_cell_angle_alpha 96.58
_cell_angle_beta 94.20
_cell_angle_gamma 115.96
_space_group_name_H-M_alt 'P -1'
_space_group_IT_number 2
loop_
_space_group_symop_operation_xyz
'x,y,z'
'-x,-y,-z'
loop_
_atom_site_label
_atom_site_type_symbol
_atom_site_fract_x
_atom_site_fract_y
_atom_site_fract_z
_atom_site_occupancy
K1 K 0.000 0.000 0.000 1
K2 K 0.343 0.684 0.482 1
Re1 Re 0.000 0.000 0.500 1
C1 C 0.037 0.230 0.739 1
C2 C 0.166 0.202 0.344 1
N1 N 0.097 0.327 0.635 1
N2 N 0.267 0.319 0.263 1
O1 O 0.262 0.011 0.572 1
```

The following is a computed powder diffraction line list of K3ReC4N4O2. It was derived from the PBE geometry in Alexandria, using Cu Kα (λ = 1.5418 Å).

The 12 most intense peaks (2θ from 10° to 90°), low angle first:
2θ (°)	d/Å	I_rel
13.82	6.409	86
14.39	6.155	100
15.19	5.832	71
16.05	5.522	44
16.58	5.348	41
20.67	4.298	37
21.75	4.086	49
22.58	3.938	60
23.89	3.725	59
24.73	3.600	45
28.47	3.135	44
32.42	2.761	30

Cell and atoms:
```
data_K3ReC4N4O2
_chemical_formula_sum 'K3 Re1 C4 N4 O2'
_cell_length_a 6.489
_cell_length_b 7.042
_cell_length_c 7.567
_cell_angle_alpha 106.44
_cell_angle_beta 110.98
_cell_angle_gamma 105.51
_space_group_name_H-M_alt 'P -1'
_space_group_IT_number 2
loop_
_space_group_symop_operation_xyz
'x,y,z'
'-x,-y,-z'
loop_
_atom_site_label
_atom_site_type_symbol
_atom_site_fract_x
_atom_site_fract_y
_atom_site_fract_z
_atom_site_occupancy
K1 K 0.000 0.000 0.000 1
K2 K 0.460 0.667 0.301 1
Re1 Re 0.000 0.500 0.500 1
C1 C 0.103 0.403 0.748 1
C2 C 0.325 0.789 0.666 1
N1 N 0.159 0.345 0.883 1
N2 N 0.491 0.058 0.258 1
O1 O 0.153 0.363 0.390 1
```

The following is a computed powder diffraction line list of K3TcC4N4O2. It was derived from the PBE geometry in Alexandria, using Cu Kα (λ = 1.5418 Å).

The 12 most intense peaks (2θ from 10° to 90°), low angle first:
2θ (°)	d/Å	I_rel
13.78	6.425	73
14.32	6.183	100
15.17	5.841	59
20.67	4.296	33
21.74	4.089	55
22.60	3.935	77
23.78	3.741	80
24.74	3.598	55
28.62	3.119	76
32.48	2.757	36
35.31	2.542	40
38.44	2.342	37

Cell and atoms:
```
data_K3TcC4N4O2
_chemical_formula_sum 'K3 Tc1 C4 N4 O2'
_cell_length_a 6.459
_cell_length_b 7.059
_cell_length_c 7.569
_cell_angle_alpha 106.45
_cell_angle_beta 110.83
_cell_angle_gamma 105.33
_space_group_name_H-M_alt 'P -1'
_space_group_IT_number 2
loop_
_space_group_symop_operation_xyz
'x,y,z'
'-x,-y,-z'
loop_
_atom_site_label
_atom_site_type_symbol
_atom_site_fract_x
_atom_site_fract_y
_atom_site_fract_z
_atom_site_occupancy
K1 K 0.000 0.000 0.000 1
K2 K 0.459 0.667 0.300 1
Tc1 Tc 0.000 0.500 0.500 1
C1 C 0.103 0.402 0.749 1
C2 C 0.327 0.789 0.666 1
N1 N 0.158 0.344 0.884 1
N2 N 0.490 0.059 0.260 1
O1 O 0.153 0.364 0.391 1
```

The following is a computed powder diffraction line list of K2PdC4N4. It was derived from the PBE geometry in Alexandria, using Cu Kα (λ = 1.5418 Å).

The 12 most intense peaks (2θ from 10° to 90°), low angle first:
2θ (°)	d/Å	I_rel
12.95	6.839	79
20.02	4.434	24
22.50	3.952	68
22.65	3.927	18
23.69	3.755	16
24.05	3.700	100
33.01	2.714	35
33.31	2.690	15
39.67	2.272	18
40.01	2.254	22
40.64	2.220	21
43.06	2.101	15

Cell and atoms:
```
data_K2PdC4N4
_chemical_formula_sum 'K4 Pd2 C8 N8'
_cell_length_a 4.435
_cell_length_b 7.853
_cell_length_c 13.724
_cell_angle_alpha 90.00
_cell_angle_beta 91.04
_cell_angle_gamma 90.00
_space_group_name_H-M_alt 'P 1 21/c 1'
_space_group_IT_number 14
loop_
_space_group_symop_operation_xyz
'x,y,z'
'-x,-y,-z'
'-x,y+1/2,-z+1/2'
'x,-y+1/2,z+1/2'
loop_
_atom_site_label
_atom_site_type_symbol
_atom_site_fract_x
_atom_site_fract_y
_atom_site_fract_z
_atom_site_occupancy
K1 K 0.216 0.045 0.344 1
Pd1 Pd 0.500 0.000 0.000 1
C1 C 0.342 0.622 0.616 1
C2 C 0.350 0.222 0.051 1
N1 N 0.253 0.699 0.683 1
N2 N 0.265 0.145 0.579 1
```

The following is a computed powder diffraction line list of K2PdCN2. It was derived from the PBE geometry in Alexandria, using Cu Kα (λ = 1.5418 Å).

The 12 most intense peaks (2θ from 10° to 90°), low angle first:
2θ (°)	d/Å	I_rel
14.60	6.069	100
15.33	5.782	50
26.28	3.391	82
29.44	3.034	36
30.75	2.908	25
35.01	2.563	61
35.34	2.540	29
38.68	2.328	35
40.16	2.245	24
40.73	2.215	39
44.84	2.021	23
55.88	1.645	34

Cell and atoms:
```
data_K2PdCN2
_chemical_formula_sum 'K8 Pd4 C4 N8'
_cell_length_a 11.563
_cell_length_b 7.129
_cell_length_c 5.655
_cell_angle_alpha 90.00
_cell_angle_beta 90.00
_cell_angle_gamma 90.00
_space_group_name_H-M_alt 'C m c m'
_space_group_IT_number 63
_space_group_name_Hall '-C 2c 2'
loop_
_atom_site_label
_atom_site_type_symbol
_atom_site_fract_x
_atom_site_fract_y
_atom_site_fract_z
_atom_site_occupancy
K1 K 0.165 0.172 0.250 1
Pd1 Pd 0.000 0.500 0.000 1
C1 C 0.000 0.237 0.750 1
N1 N 0.109 0.218 0.750 1
```

The following is a computed powder diffraction line list of K2PdC4S4N4. It was derived from the PBE geometry in Alexandria, using Cu Kα (λ = 1.5418 Å).

The 12 most intense peaks (2θ from 10° to 90°), low angle first:
2θ (°)	d/Å	I_rel
10.35	8.545	100
13.13	6.745	36
16.05	5.522	37
20.20	4.395	39
21.34	4.165	22
23.69	3.756	59
24.17	3.682	24
27.56	3.236	38
27.66	3.225	22
32.44	2.760	28
36.11	2.487	22
43.50	2.081	18

Cell and atoms:
```
data_K2PdC4S4N4
_chemical_formula_sum 'K4 Pd2 C8 S8 N8'
_cell_length_a 4.434
_cell_length_b 13.489
_cell_length_c 11.141
_cell_angle_alpha 90.00
_cell_angle_beta 97.56
_cell_angle_gamma 90.00
_space_group_name_H-M_alt 'P 1 21/c 1'
_space_group_IT_number 14
loop_
_space_group_symop_operation_xyz
'x,y,z'
'-x,-y,-z'
'-x,y+1/2,-z+1/2'
'x,-y+1/2,z+1/2'
loop_
_atom_site_label
_atom_site_type_symbol
_atom_site_fract_x
_atom_site_fract_y
_atom_site_fract_z
_atom_site_occupancy
K1 K 0.207 0.140 0.034 1
Pd1 Pd 0.500 0.000 0.500 1
C1 C 0.284 0.654 0.202 1
C2 C 0.464 0.573 0.722 1
S1 S 0.292 0.089 0.654 1
S2 S 0.368 0.659 0.062 1
N1 N 0.225 0.655 0.303 1
N2 N 0.307 0.566 0.628 1
```

The following is a computed powder diffraction line list of K2PtC4N4. It was derived from the PBE geometry in Alexandria, using Cu Kα (λ = 1.5418 Å).

The 12 most intense peaks (2θ from 10° to 90°), low angle first:
2θ (°)	d/Å	I_rel
11.63	7.606	100
12.85	6.888	49
19.46	4.562	29
21.67	4.101	47
24.75	3.597	43
25.84	3.448	21
26.64	3.347	25
28.95	3.085	18
30.09	2.970	23
31.68	2.825	18
35.45	2.532	15
36.85	2.439	25

Cell and atoms:
```
data_K2PtC4N4
_chemical_formula_sum 'K8 Pt4 C16 N16'
_cell_length_a 9.123
_cell_length_b 13.775
_cell_length_c 7.454
_cell_angle_alpha 90.00
_cell_angle_beta 90.00
_cell_angle_gamma 90.00
_space_group_name_H-M_alt 'P c c n'
_space_group_IT_number 56
loop_
_space_group_symop_operation_xyz
'x,y,z'
'-x,-y,-z'
'-x+1/2,-y+1/2,z'
'x+1/2,y+1/2,-z'
'x+1/2,-y,-z+1/2'
'-x+1/2,y,z+1/2'
'-x,y+1/2,-z+1/2'
'x,-y+1/2,z+1/2'
loop_
_atom_site_label
_atom_site_type_symbol
_atom_site_fract_x
_atom_site_fract_y
_atom_site_fract_z
_atom_site_occupancy
K1 K 0.150 0.102 0.203 1
Pt1 Pt 0.250 0.750 0.423 1
C1 C 0.040 0.711 0.929 1
C2 C 0.198 0.610 0.416 1
N1 N 0.084 0.187 0.562 1
N2 N 0.169 0.527 0.406 1
```

The following is a computed powder diffraction line list of KCSN. It was derived from the PBE geometry in Alexandria, using Cu Kα (λ = 1.5418 Å).

The 12 most intense peaks (2θ from 10° to 90°), low angle first:
2θ (°)	d/Å	I_rel
16.71	5.306	9
25.21	3.532	18
26.86	3.319	10
28.88	3.091	100
30.76	2.907	29
31.80	2.814	16
35.06	2.559	14
37.17	2.419	12
40.66	2.219	11
42.83	2.111	12
45.12	2.010	12
62.02	1.496	11

Cell and atoms:
```
data_KCSN
_chemical_formula_sum 'K4 C4 S4 N4'
_cell_length_a 8.038
_cell_length_b 7.064
_cell_length_c 6.638
_cell_angle_alpha 90.00
_cell_angle_beta 90.00
_cell_angle_gamma 90.00
_space_group_name_H-M_alt 'I m a 2'
_space_group_IT_number 46
loop_
_space_group_symop_operation_xyz
'x,y,z'
'-x,-y,z'
'-x+1/2,y,z'
'x+1/2,-y,z'
'x+1/2,y+1/2,z+1/2'
'-x+1/2,-y+1/2,z+1/2'
'-x,y+1/2,z+1/2'
'x,-y+1/2,z+1/2'
loop_
_atom_site_label
_atom_site_type_symbol
_atom_site_fract_x
_atom_site_fract_y
_atom_site_fract_z
_atom_site_occupancy
K1 K 0.000 0.000 0.000 1
C1 C 0.250 0.014 0.439 1
S1 S 0.250 0.636 0.128 1
N1 N 0.250 0.120 0.300 1
```

The following is a computed powder diffraction line list of KNaCO3. It was derived from the PBE geometry in Alexandria, using Cu Kα (λ = 1.5418 Å).

The 12 most intense peaks (2θ from 10° to 90°), low angle first:
2θ (°)	d/Å	I_rel
28.75	3.105	63
32.29	2.772	91
34.40	2.607	100
40.27	2.239	86
47.89	1.899	65
52.53	1.742	13
57.59	1.601	11
58.92	1.567	32
59.55	1.552	14
67.58	1.386	20
69.38	1.355	15
78.08	1.224	16

Cell and atoms:
```
data_KNaCO3
_chemical_formula_sum 'K2 Na2 C2 O6'
_cell_length_a 5.5444
_cell_length_b 5.5444
_cell_length_c 6.2100
_cell_angle_alpha 90.00
_cell_angle_beta 90.00
_cell_angle_gamma 120.00
_space_group_name_H-M_alt 'P 63/m m c'
_space_group_IT_number 194
_space_group_name_Hall '-P 6c 2c'
loop_
_atom_site_label
_atom_site_type_symbol
_atom_site_fract_x
_atom_site_fract_y
_atom_site_fract_z
_atom_site_occupancy
K1 K 0.3333 0.6667 0.2500 1
Na1 Na 0.0000 0.0000 0.0000 1
C1 C 0.3333 0.6667 0.7500 1
O1 O 0.1974 0.3948 0.7500 1
```

The following is a computed powder diffraction line list of K3NaUC3O11. It was derived from the PBE geometry in Alexandria, using Cu Kα (λ = 1.5418 Å).

The 12 most intense peaks (2θ from 10° to 90°), low angle first:
2θ (°)	d/Å	I_rel
10.88	8.128	62
15.21	5.826	100
18.91	4.693	21
21.27	4.178	18
23.95	3.716	20
24.35	3.655	28
28.61	3.120	46
31.01	2.883	29
33.06	2.709	33
38.36	2.346	16
41.49	2.177	16
44.27	2.046	27

Cell and atoms:
```
data_K3NaUC3O11
_chemical_formula_sum 'K6 Na2 U2 C6 O22'
_cell_length_a 9.3859
_cell_length_b 9.3859
_cell_length_c 8.3555
_cell_angle_alpha 90.00
_cell_angle_beta 90.00
_cell_angle_gamma 120.00
_space_group_name_H-M_alt 'P -6 2 c'
_space_group_IT_number 190
_space_group_name_Hall 'P -6c -2c'
loop_
_atom_site_label
_atom_site_type_symbol
_atom_site_fract_x
_atom_site_fract_y
_atom_site_fract_z
_atom_site_occupancy
K1 K 0.0000 0.2993 0.0000 1
Na1 Na 0.3333 0.6667 0.2500 1
U1 U 0.3333 0.6667 0.7500 1
C1 C 0.0124 0.6444 0.7500 1
O1 O 0.0325 0.5149 0.7500 1
O2 O 0.1273 0.7605 0.2500 1
O3 O 0.1522 0.7855 0.7500 1
O4 O 0.3333 0.6667 0.5291 1
```

Please write out number 7 again, unchanged.
The following is a computed powder diffraction line list of K2PdC4S4N4. It was derived from the PBE geometry in Alexandria, using Cu Kα (λ = 1.5418 Å).

The 12 most intense peaks (2θ from 10° to 90°), low angle first:
2θ (°)	d/Å	I_rel
10.35	8.545	100
13.13	6.745	36
16.05	5.522	37
20.20	4.395	39
21.34	4.165	22
23.69	3.756	59
24.17	3.682	24
27.56	3.236	38
27.66	3.225	22
32.44	2.760	28
36.11	2.487	22
43.50	2.081	18

Cell and atoms:
```
data_K2PdC4S4N4
_chemical_formula_sum 'K4 Pd2 C8 S8 N8'
_cell_length_a 4.434
_cell_length_b 13.489
_cell_length_c 11.141
_cell_angle_alpha 90.00
_cell_angle_beta 97.56
_cell_angle_gamma 90.00
_space_group_name_H-M_alt 'P 1 21/c 1'
_space_group_IT_number 14
loop_
_space_group_symop_operation_xyz
'x,y,z'
'-x,-y,-z'
'-x,y+1/2,-z+1/2'
'x,-y+1/2,z+1/2'
loop_
_atom_site_label
_atom_site_type_symbol
_atom_site_fract_x
_atom_site_fract_y
_atom_site_fract_z
_atom_site_occupancy
K1 K 0.207 0.140 0.034 1
Pd1 Pd 0.500 0.000 0.500 1
C1 C 0.284 0.654 0.202 1
C2 C 0.464 0.573 0.722 1
S1 S 0.292 0.089 0.654 1
S2 S 0.368 0.659 0.062 1
N1 N 0.225 0.655 0.303 1
N2 N 0.307 0.566 0.628 1
```

- Number 8 is which compound?
  K2PtC4N4